[1]
# Sm3Al4Au7
Computed powder diffraction line list, CuKα. Input: a PBE-relaxed structure.
No peak broadening, texture or thermal motion is included.

Principal peaks in the range 10 to 80 degrees two-theta, in order of rising 2θ:
2theta, I_rel
25.85, 29
28.35, 21
34.09, 100
34.79, 11
37.36, 20
39.07, 13
40.04, 25
40.86, 31
58.54, 17
70.07, 13

Structure:
Unit cell a=8.5424 b=8.5424 c=9.5220 alpha=123.67 beta=123.67 gamma=29.97
Element x y z (fractional)
Sm (0.0000, 0.0000, 0.0000)
Sm (0.3181, 0.3181, 0.3237)
Sm (0.6819, 0.6819, 0.6763)
Al (0.1279, 0.1279, 0.8487)
Al (0.3257, 0.3257, 0.6885)
Al (0.6743, 0.6743, 0.3115)
Al (0.8721, 0.8721, 0.1513)
Au (0.0000, 0.0000, 0.5000)
Au (0.1399, 0.1399, 0.4029)
Au (0.3160, 0.3160, 0.9478)
Au (0.4983, 0.4983, 0.2700)
Au (0.5017, 0.5017, 0.7300)
Au (0.6840, 0.6840, 0.0522)
Au (0.8601, 0.8601, 0.5971)


[2]
# Sm2AlAu
Computed powder diffraction line list, CuKα. Input: a PBE-relaxed structure.
No peak broadening, texture or thermal motion is included.

Principal peaks in the range 10 to 80 degrees two-theta, in order of rising 2θ:
2theta, I_rel
15.21, 19
24.60, 19
30.69, 22
31.39, 100
32.91, 44
36.48, 38
38.41, 42
39.05, 28
51.96, 27
61.51, 21

Structure:
Unit cell a=4.6133 b=6.1308 c=6.1308 alpha=36.24 beta=90.00 gamma=90.00
Element x y z (fractional)
Sm (0.0000, 0.0000, 0.0000)
Sm (0.5000, 0.2990, 0.2990)
Al (0.5000, 0.5789, 0.5789)
Au (0.0000, 0.7209, 0.7209)